Structure and theoretical X-ray diffraction stick pattern of Mg4Tl3Pb4 (a crystal structure in Alexandria, relaxed with GGA-PBE; Cu Kα X-rays).

Peak list (6 most intense, 2θ = 15–90°, sorted by position)
24.45°, I = 53, (2 1 1); 28.31°, I = 100, (2 2 0); 31.73°, I = 27, (3 1 0); 43.03°, I = 35, (4 1 1); 47.84°, I = 17, (3 3 2); 50.11°, I = 21, (4 2 2)

Atomic structure:
Cell: 8.917 8.917 8.917 Å, 90.00 90.00 90.00°
Space group I-43m (No. 217)
Symmetry-distinct sites (fractional):
Mg  0.123  0.123  0.877
Tl  0.000  0.000  0.500
Pb  0.198  0.198  0.198


Structure and theoretical X-ray diffraction stick pattern of MgTl2Pb (a crystal structure in Alexandria, relaxed with GGA-PBE; Cu Kα X-rays).

Peak list (6 most intense, 2θ = 15–90°, sorted by position)
31.58°, I = 95, (1 1 0); 32.01°, I = 35, (1 1 -1); 32.95°, I = 100, (0 1 2); 33.90°, I = 42, (1 0 -2); 34.60°, I = 44, (0 2 0); 60.93°, I = 34, (0 3 2)

Atomic structure:
Cell: 3.475 5.184 6.561 Å, 90.00 103.26 90.00°
Space group P2/m (No. 10)
Symmetry-distinct sites (fractional):
Mg  0.000  0.000  0.000
Tl  0.419  0.500  0.241
Pb  0.000  0.000  0.500


Structure and theoretical X-ray diffraction stick pattern of MgTl5Pb2 (a crystal structure in Alexandria, relaxed with GGA-PBE; Cu Kα X-rays).

Peak list (6 most intense, 2θ = 15–90°, sorted by position)
31.20°, I = 56, (2 0 1); 31.96°, I = 100, (0 4 1); 33.62°, I = 38, (0 0 2); 38.06°, I = 26, (2 4 0); 51.67°, I = 22, (2 4 2); 59.07°, I = 18, (0 4 3)

Atomic structure:
Cell: 6.800 13.161 5.332 Å, 90.00 90.00 90.00°
Space group Pbam (No. 55)
Symmetry-distinct sites (fractional):
Mg  0.000  0.000  0.000
Tl  0.000  0.500  0.000
Tl  0.048  0.240  0.000
Tl  0.184  0.648  0.500
Pb  0.190  0.903  0.500


Structure and theoretical X-ray diffraction stick pattern of Mg2Tl15Pb2 (a crystal structure in Alexandria, relaxed with GGA-PBE; Cu Kα X-rays).

Peak list (6 most intense, 2θ = 15–90°, sorted by position)
30.25°, I = 92, (1 0 3); 30.51°, I = 100, (2 -2 0); 31.12°, I = 94, (-1 2 2); 31.62°, I = 98, (2 -2 1); 32.89°, I = 86, (1 1 -2); 33.99°, I = 84, (3 -1 1)

Atomic structure:
Cell: 8.402 8.408 9.218 Å, 74.14 68.30 88.74°
Space group P-1 (No. 2)
Symmetry-distinct sites (fractional):
Mg  0.207  0.215  0.134
Tl  0.000  0.000  0.500
Tl  0.000  0.500  0.000
Tl  0.021  0.847  0.180
Tl  0.074  0.594  0.593
Tl  0.247  0.851  0.777
Tl  0.343  0.601  0.097
Tl  0.363  0.408  0.738
Tl  0.404  0.886  0.385
Tl  0.500  0.000  0.000
Pb  0.321  0.282  0.425